Structure and computed X-ray powder pattern of Li2CoCuP2O8 (the PBE+U geometry in Alexandria; Cu Ka).
Lines closer than 0.1° are merged.

Top 10 peaks for 2θ = 10–90°, in order of falling intensity:
2θ = 29.44°, I = 100, hkl 0 2 0; 2θ = 25.57°, I = 72, hkl -1 1 1; 2θ = 36.39°, I = 66, hkl 1 1 -3; 2θ = 17.52°, I = 59, hkl 0 0 2; 2θ = 20.41°, I = 57, hkl 1 0 1; 2θ = 35.74°, I = 46, hkl 1 -1 3; 2θ = 25.39°, I = 38, hkl 1 -1 1; 2θ = 35.09°, I = 37, hkl 1 1 3; 2θ = 24.96°, I = 33, hkl 1 1 1; 2θ = 36.12°, I = 33, hkl -1 1 3

Structural model:
Lattice parameters (Å, degrees): 4.754 6.069 10.133 88.85 88.32 89.32
Element x y z (fractional)
Li 0.000 0.000 0.000
Li 0.000 0.500 0.000
Li 0.499 0.000 0.500
Li 0.501 0.499 0.501
Co 0.019 0.243 0.718
Co 0.981 0.757 0.283
Cu 0.456 0.251 0.216
Cu 0.547 0.750 0.784
P 0.085 0.744 0.599
P 0.425 0.746 0.092
P 0.575 0.254 0.907
P 0.915 0.255 0.401
O 0.205 0.757 0.454
O 0.212 0.529 0.661
O 0.218 0.943 0.670
O 0.242 0.248 0.394
O 0.253 0.250 0.904
O 0.274 0.945 0.162
O 0.282 0.543 0.164
O 0.313 0.748 0.948
O 0.688 0.253 0.051
O 0.716 0.456 0.834
O 0.726 0.054 0.839
O 0.747 0.748 0.096
O 0.758 0.751 0.605
O 0.782 0.057 0.328
O 0.789 0.470 0.339
O 0.795 0.241 0.545